1.
The following is a computed X-ray powder pattern of Cs5ICl8. It was derived from a crystal structure in Alexandria, relaxed with GGA-PBE, using a wavelength of 1.5418 Å.
No peak broadening, texture or thermal motion is included.

The 6 most intense peaks (2θ from 5° to 70°), low angle first:
d (Å), Rel. int.
4.425, 58
4.237, 100
3.503, 76
3.264, 56
3.238, 52
2.259, 35

Crystal structure
Cell lengths 9.148, 9.148, 9.148 Å; angles 111.94, 111.94, 104.64 degrees
Sites, in units of the cell vectors:
Cs (0.000, 0.000, 0.000)
Cs (0.108, 0.263, 0.578)
Cs (0.470, 0.892, 0.155)
Cs (0.685, 0.530, 0.422)
Cs (0.737, 0.315, 0.845)
I (0.250, 0.750, 0.500)
Cl (0.024, 0.605, 0.807)
Cl (0.233, 0.515, 0.226)
Cl (0.289, 0.008, 0.774)
Cl (0.395, 0.202, 0.419)
Cl (0.485, 0.711, 0.718)
Cl (0.782, 0.976, 0.581)
Cl (0.798, 0.218, 0.193)
Cl (0.992, 0.767, 0.282)

---

2.
The following is a computed X-ray powder pattern of Cs3ICl6. It was derived from a crystal structure in Alexandria, relaxed with GGA-PBE, using a wavelength of 1.5418 Å.
No peak broadening, texture or thermal motion is included.

The 6 most intense peaks (2θ from 5° to 70°), low angle first:
d (Å), Rel. int.
4.454, 100
4.052, 41
3.539, 39
2.865, 42
2.410, 37
2.227, 39

Crystal structure
Cell lengths 9.107, 9.107, 9.107 Å; angles 127.17, 127.17, 77.98 degrees
Sites, in units of the cell vectors:
Cs (0.000, 0.000, 0.000)
Cs (0.250, 0.750, 0.500)
Cs (0.750, 0.250, 0.500)
I (0.500, 0.500, 0.000)
Cl (0.234, 0.234, 0.000)
Cl (0.281, 0.281, 0.563)
Cl (0.281, 0.719, 0.000)
Cl (0.719, 0.281, 0.000)
Cl (0.719, 0.719, 0.437)
Cl (0.766, 0.766, 0.000)

---

3.
The following is a computed X-ray powder pattern of Cs4I3Cl12. It was derived from a crystal structure in Alexandria, relaxed with GGA-PBE, using a wavelength of 1.5418 Å.
No peak broadening, texture or thermal motion is included.

The 6 most intense peaks (2θ from 5° to 70°), low angle first:
d (Å), Rel. int.
8.703, 21
4.352, 100
3.077, 20
2.512, 68
1.946, 29
1.645, 26

Crystal structure
Cell lengths 10.659, 10.659, 10.659 Å; angles 109.47, 109.47, 109.47 degrees
Sites, in units of the cell vectors:
Cs (0.000, 0.000, 0.500)
Cs (0.000, 0.500, 0.000)
Cs (0.500, 0.000, 0.000)
Cs (0.500, 0.500, 0.500)
I (0.000, 0.500, 0.500)
I (0.500, 0.000, 0.500)
I (0.500, 0.500, 0.000)
Cl (0.143, 0.345, 0.488)
Cl (0.143, 0.655, 0.799)
Cl (0.201, 0.857, 0.345)
Cl (0.345, 0.201, 0.857)
Cl (0.345, 0.488, 0.143)
Cl (0.488, 0.143, 0.345)
Cl (0.512, 0.857, 0.655)
Cl (0.655, 0.512, 0.857)
Cl (0.655, 0.799, 0.143)
Cl (0.799, 0.143, 0.655)
Cl (0.857, 0.345, 0.201)
Cl (0.857, 0.655, 0.512)

---

4.
The following is a computed X-ray powder pattern of Cs3ICl2. It was derived from a crystal structure in Alexandria, relaxed with GGA-PBE, using a wavelength of 1.5418 Å.
No peak broadening, texture or thermal motion is included.

The 6 most intense peaks (2θ from 5° to 70°), low angle first:
d (Å), Rel. int.
4.247, 29
3.689, 53
3.673, 100
2.603, 97
2.590, 21
1.648, 27

Crystal structure
Cell lengths 7.377, 15.539, 10.418 Å; angles 90.00, 90.00, 90.00 degrees
Sites, in units of the cell vectors:
Cs (0.250, 0.091, 0.147)
Cs (0.250, 0.093, 0.607)
Cs (0.250, 0.407, 0.107)
Cs (0.250, 0.409, 0.647)
Cs (0.250, 0.743, 0.632)
Cs (0.250, 0.757, 0.132)
Cs (0.750, 0.243, 0.868)
Cs (0.750, 0.257, 0.368)
Cs (0.750, 0.591, 0.353)
Cs (0.750, 0.593, 0.893)
Cs (0.750, 0.907, 0.393)
Cs (0.750, 0.909, 0.853)
I (0.250, 0.573, 0.375)
I (0.250, 0.927, 0.875)
I (0.750, 0.073, 0.125)
I (0.750, 0.427, 0.625)
Cl (0.250, 0.243, 0.875)
Cl (0.250, 0.257, 0.375)
Cl (0.250, 0.586, 0.886)
Cl (0.250, 0.914, 0.386)
Cl (0.750, 0.086, 0.614)
Cl (0.750, 0.414, 0.114)
Cl (0.750, 0.743, 0.625)
Cl (0.750, 0.757, 0.125)